Record 1
# GaCuTe2O8
Calculated powder diffraction line list, a wavelength of 1.5418 Å. Input: DFT lattice parameters and positions (GGA-PBE).

```
12
Lattice="-3.330 3.330 3.443 3.330 -3.330 3.443 3.330 3.330 -3.443" Properties=species:S:1:pos:R:3 pbc="T T T"
Ga 0.000 0.000 0.000
Cu 3.330 0.000 1.721
Te 0.000 0.000 3.443
Te 0.000 3.330 1.721
O 1.979 3.330 -1.323
O 1.351 0.000 2.120
O 0.000 1.940 0.456
O 3.330 1.979 1.323
O 0.000 4.721 0.456
O 0.000 1.351 4.766
O -1.390 3.330 2.987
O 1.390 3.330 2.987
```

Largest 12 diffraction maxima, sorted by position, 10° ≤ 2θ ≤ 80°:
2θ (°)	intensity
18.53	13
26.77	99
32.21	100
32.76	18
38.22	19
50.82	69
55.16	18
60.55	18
62.34	15
65.32	19
67.39	13
78.28	13

=====

Record 2
# Sb6TeCl12
Calculated powder diffraction line list, a wavelength of 1.5418 Å. Input: DFT lattice parameters and positions (GGA-PBE).

```
19
Lattice="7.736 4.466 3.342 -7.736 4.466 3.342 0.000 -8.933 3.342" Properties=species:S:1:pos:R:3 pbc="T T T"
Sb -2.186 -1.262 2.777
Sb 2.186 -1.262 2.777
Sb 0.000 2.524 2.777
Sb 0.000 -2.524 7.250
Sb -2.186 1.262 7.250
Sb 2.186 1.262 7.250
Te 0.000 0.000 5.013
Cl -2.986 -3.760 3.342
Cl -4.749 -0.706 3.342
Cl 0.000 -2.284 1.645
Cl -1.978 1.142 1.645
Cl 1.978 1.142 1.645
Cl 2.986 -3.760 3.342
Cl -1.763 4.466 3.342
Cl 4.749 -0.706 3.342
Cl 1.763 4.466 3.342
Cl -1.978 -1.142 8.382
Cl 1.978 -1.142 8.382
Cl 0.000 2.284 8.382
```

Largest 12 diffraction maxima, sorted by position, 10° ≤ 2θ ≤ 80°:
2θ (°)	intensity
11.02	50
11.44	67
18.90	95
19.64	73
22.15	34
28.09	55
29.93	100
33.49	50
34.79	53
38.08	39
44.95	33
45.29	27

=====

Record 3
# PmS2Br2
Calculated powder diffraction line list, a wavelength of 1.5418 Å. Input: DFT lattice parameters and positions (GGA-PBE).

```
10
Lattice="3.833 -6.937 0.000 3.833 6.937 0.000 -2.156 0.000 7.670" Properties=species:S:1:pos:R:3 pbc="T T T"
Pm 3.833 4.569 0.000
Pm 3.833 -4.569 0.000
S 0.174 0.000 1.713
S 1.669 0.000 0.400
S 3.842 0.000 7.269
S 5.336 0.000 5.957
Br 1.716 3.746 1.861
Br 3.794 3.746 5.809
Br 1.716 -3.746 1.861
Br 3.794 -3.746 5.809
```

Largest 12 diffraction maxima, sorted by position, 10° ≤ 2θ ≤ 80°:
2θ (°)	intensity
11.54	100
12.76	58
13.59	45
15.60	22
22.69	18
27.00	37
28.68	20
31.50	27
32.32	21
39.23	24
40.38	27
47.44	23

=====

Record 4
# Ho5Er4Mg2
Calculated powder diffraction line list, a wavelength of 1.5418 Å. Input: DFT lattice parameters and positions (GGA-PBE).

```
11
Lattice="3.481 0.000 0.000 1.722 8.322 0.000 1.726 -0.243 11.421" Properties=species:S:1:pos:R:3 pbc="T T T"
Ho 0.000 0.000 0.000
Ho 1.734 2.866 0.805
Ho 3.459 4.730 7.430
Ho 3.470 3.350 3.991
Ho 5.195 5.213 10.616
Er 1.727 5.815 2.194
Er 1.743 0.326 3.090
Er 5.186 7.753 8.331
Er 5.202 2.264 9.227
Mg 1.716 1.432 6.163
Mg 5.213 6.647 5.258
```

Largest 12 diffraction maxima, sorted by position, 10° ≤ 2θ ≤ 80°:
2θ (°)	intensity
28.71	32
30.54	27
32.23	100
32.44	61
32.70	95
32.86	29
32.95	79
33.08	62
36.07	41
42.19	24
51.65	33
63.47	33

=====

Record 5
# RbSmGeS4
Calculated powder diffraction line list, a wavelength of 1.5418 Å. Input: DFT lattice parameters and positions (GGA-PBE).

```
14
Lattice="6.600 0.000 0.000 0.000 6.757 0.000 -2.763 0.000 8.732" Properties=species:S:1:pos:R:3 pbc="T T T"
Rb 0.334 1.689 3.811
Rb 3.504 5.068 4.921
Sm -0.820 1.689 8.294
Sm 4.657 5.068 0.438
Ge 1.354 5.068 1.482
Ge 2.483 1.689 7.250
S -2.083 5.068 8.099
S -0.388 5.068 2.828
S 1.081 3.409 6.945
S 1.081 6.726 6.945
S 2.757 0.030 1.787
S 2.757 3.348 1.787
S 4.226 1.689 5.904
S 5.921 1.689 0.632
```

Largest 12 diffraction maxima, sorted by position, 10° ≤ 2θ ≤ 80°:
2θ (°)	intensity
10.13	100
16.59	32
19.27	42
24.27	37
24.81	34
26.38	60
28.35	28
29.57	27
31.19	64
32.46	53
39.12	45
48.05	27

=====

Record 6
# Pm3Sm8Dy3
Calculated powder diffraction line list, a wavelength of 1.5418 Å. Input: DFT lattice parameters and positions (GGA-PBE).

```
14
Lattice="-2.857 5.456 7.598 2.857 -5.456 7.598 2.857 5.456 -7.598" Properties=species:S:1:pos:R:3 pbc="T T T"
Pm 0.000 0.000 0.000
Pm 2.857 0.000 2.745
Pm 0.000 5.456 4.853
Sm 2.857 3.717 -3.369
Sm 2.857 -1.755 6.030
Sm 0.000 1.739 4.229
Sm 0.000 3.702 1.568
Sm 2.857 1.755 6.030
Sm 2.857 3.717 3.369
Sm 0.000 7.211 1.568
Sm 0.000 1.739 10.967
Dy 2.857 2.201 0.000
Dy 0.000 0.000 7.598
Dy 0.000 3.256 7.598
```

Largest 12 diffraction maxima, sorted by position, 10° ≤ 2θ ≤ 80°:
2θ (°)	intensity
28.68	15
29.39	34
30.25	29
31.31	53
31.44	100
33.39	53
44.09	21
50.16	11
55.81	20
57.05	20
60.33	12
61.60	15